Computed powder diffraction line list
Compound: PmGeBIr2
Radiation: copper Kα
Structure: a structure optimized by DFT (PBE)
Lines closer than 0.1° are merged.

Principal peaks in the range 2θ = 15–90°, by angle:
- 2θ = 17.79°, I 9
- 2θ = 28.29°, I 13
- 2θ = 36.00°, I 100
- 2θ = 44.48°, I 29
- 2θ = 58.52°, I 16
- 2θ = 67.69°, I 13

Atomic structure:
```
10
Lattice="-2.882 2.882 4.985 2.882 -2.882 4.985 2.882 2.882 -4.985" Properties=species:S:1:pos:R:3 pbc="T T T"
Pm 0.000 0.000 2.493
Pm 0.000 0.000 7.478
Ge 2.882 0.000 2.493
Ge 0.000 2.882 2.493
B 0.000 0.000 0.000
B 0.000 0.000 4.985
Ir 3.808 0.926 0.000
Ir 0.926 1.956 0.000
Ir 1.956 0.926 4.985
Ir -0.926 1.956 4.985
```

---

Computed powder diffraction line list
Compound: SrLi2Ca2Hg2
Radiation: copper Kα
Structure: a structure optimized by DFT (PBE)
Lines closer than 0.1° are merged.

Principal peaks in the range 2θ = 15–90°, by angle:
- 2θ = 16.69°, I 44
- 2θ = 22.08°, I 78
- 2θ = 24.13°, I 99
- 2θ = 29.07°, I 50
- 2θ = 31.08°, I 100
- 2θ = 37.44°, I 77

Atomic structure:
```
7
Lattice="2.402 1.387 10.626 -2.402 1.387 10.626 0.000 -2.773 10.626" Properties=species:S:1:pos:R:3 pbc="T T T"
Sr 0.000 0.000 0.000
Li 0.000 0.000 12.823
Li 0.000 0.000 19.056
Ca 0.000 0.000 3.999
Ca 0.000 0.000 27.880
Hg 0.000 0.000 8.312
Hg 0.000 0.000 23.567
```

---

Computed powder diffraction line list
Compound: PuTiCo
Radiation: copper Kα
Structure: a structure optimized by DFT (PBE)
Lines closer than 0.1° are merged.

Principal peaks in the range 2θ = 15–90°, by angle:
- 2θ = 19.50°, I 38
- 2θ = 22.25°, I 46
- 2θ = 35.82°, I 44
- 2θ = 36.94°, I 100
- 2θ = 40.06°, I 45
- 2θ = 45.39°, I 33

Atomic structure:
```
6
Lattice="0.000 4.339 4.552 2.590 0.000 4.552 2.590 4.339 0.000" Properties=species:S:1:pos:R:3 pbc="T T T"
Pu 2.590 1.439 4.552
Pu 2.590 7.238 4.552
Ti 2.590 4.339 3.058
Ti 2.590 4.339 6.046
Co 1.295 2.169 2.276
Co 3.885 6.508 6.828
```

---

Computed powder diffraction line list
Compound: Li12Mg2Al
Radiation: copper Kα
Structure: a structure optimized by DFT (PBE)
Lines closer than 0.1° are merged.

Principal peaks in the range 2θ = 15–90°, by angle:
- 2θ = 22.61°, I 78
- 2θ = 26.38°, I 61
- 2θ = 29.00°, I 100
- 2θ = 35.01°, I 56
- 2θ = 37.08°, I 75
- 2θ = 39.24°, I 83

Atomic structure:
```
30
Lattice="5.562 0.000 0.000 0.000 5.562 0.000 0.000 0.000 19.791" Properties=species:S:1:pos:R:3 pbc="T T T"
Li 5.561 0.001 2.013
Li 0.001 5.561 17.778
Li 0.001 2.782 2.013
Li 5.561 2.780 17.778
Li 0.401 3.182 8.654
Li 0.401 5.161 11.137
Li 1.391 1.391 4.164
Li 1.391 1.391 6.735
Li 1.391 1.391 13.055
Li 1.391 1.391 15.626
Li 2.380 3.182 11.137
Li 2.380 5.161 8.654
Li 2.780 5.561 2.013
Li 2.782 0.001 17.778
Li 2.782 2.780 2.013
Li 2.780 2.782 17.778
Li 3.182 0.401 11.137
Li 3.182 2.380 8.654
Li 4.172 4.172 4.164
Li 4.172 4.172 6.735
Li 4.172 4.172 13.055
Li 4.172 4.172 15.626
Li 5.161 0.401 8.654
Li 5.161 2.380 11.137
Mg 1.391 4.172 5.472
Mg 1.391 4.172 14.319
Mg 4.172 1.391 5.472
Mg 4.172 1.391 14.319
Al 1.391 4.172 0.000
Al 4.172 1.391 0.000
```

---

Computed powder diffraction line list
Compound: Cs2PO3
Radiation: copper Kα
Structure: a structure optimized by DFT (PBE)
Lines closer than 0.1° are merged.

Principal peaks in the range 2θ = 15–90°, by angle:
- 2θ = 18.49°, I 43
- 2θ = 21.27°, I 73
- 2θ = 27.22°, I 68
- 2θ = 29.22°, I 100
- 2θ = 34.04°, I 31
- 2θ = 39.69°, I 31

Atomic structure:
```
12
Lattice="0.000 4.640 9.597 4.483 0.000 9.597 4.483 4.640 0.000" Properties=species:S:1:pos:R:3 pbc="T T T"
Cs 6.786 4.640 9.597
Cs 2.241 2.320 4.799
Cs 6.724 6.961 14.396
Cs 2.179 4.640 9.597
P 4.483 4.640 2.775
P 4.483 4.640 16.420
O 4.483 1.316 7.594
O 4.483 4.640 4.299
O 4.483 1.316 11.601
O 4.483 7.964 7.594
O 4.483 4.640 14.896
O 4.483 7.964 11.601
```

---

Computed powder diffraction line list
Compound: LaTb3Dy12
Radiation: copper Kα
Structure: a structure optimized by DFT (PBE)
Lines closer than 0.1° are merged.

Principal peaks in the range 2θ = 15–90°, by angle:
- 2θ = 30.76°, I 100
- 2θ = 35.66°, I 51
- 2θ = 51.33°, I 36
- 2θ = 61.04°, I 43
- 2θ = 83.74°, I 18
- 2θ = 86.43°, I 16

Atomic structure:
```
16
Lattice="5.034 0.000 0.000 0.000 5.034 0.000 0.000 0.000 20.144" Properties=species:S:1:pos:R:3 pbc="T T T"
La 0.000 0.000 0.000
Tb 0.000 0.000 5.058
Tb 0.000 0.000 10.072
Tb 0.000 0.000 15.086
Dy 0.000 2.517 2.574
Dy 0.000 2.517 7.571
Dy 0.000 2.517 12.573
Dy 0.000 2.517 17.570
Dy 2.517 0.000 2.574
Dy 2.517 0.000 7.571
Dy 2.517 0.000 12.573
Dy 2.517 0.000 17.570
Dy 2.517 2.517 0.000
Dy 2.517 2.517 5.080
Dy 2.517 2.517 10.072
Dy 2.517 2.517 15.063
```